(1)
The following is a theoretical PXRD pattern of ScFe6Sn6. It was derived from a structure optimized by DFT (GGA-PBE), using λ = 1.5418 Å (Cu Kα).
No peak broadening, texture or thermal motion is included.

Crystal structure
```
data_ScFe6Sn6
_cell_length_a 5.3786
_cell_length_b 5.3786
_cell_length_c 8.9135
_cell_angle_alpha 90.00
_cell_angle_beta 90.00
_cell_angle_gamma 120.00
_space_group_name_H-M_alt 'P 6/m m m'
_space_group_IT_number 191
_space_group_name_Hall '-P 6 2'
loop_
_atom_site_label
_atom_site_type_symbol
_atom_site_fract_x
_atom_site_fract_y
_atom_site_fract_z
Sc1 Sc 0.0000 0.0000 0.0000
Fe1 Fe 0.0000 0.5000 0.2455
Sn1 Sn 0.0000 0.0000 0.3333
Sn2 Sn 0.3333 0.6667 0.0000
Sn3 Sn 0.3333 0.6667 0.5000
```

Main lines, in order of rising 2θ (10 to 90 degrees two-theta):
Position (°2θ), I_rel
27.70, 29.3
33.32, 100.0
35.85, 34.0
38.66, 24.5
39.12, 83.7
40.48, 26.3
43.86, 98.3
45.10, 38.8
59.54, 20.0
67.84, 23.5
69.96, 34.1
72.72, 39.8

(2)
The following is a theoretical PXRD pattern of Sc6FeTe2. It was derived from a structure optimized by DFT (GGA-PBE), using λ = 1.5418 Å (Cu Kα).
No peak broadening, texture or thermal motion is included.

Crystal structure
```
data_Sc6FeTe2
_cell_length_a 7.7207
_cell_length_b 7.7207
_cell_length_c 3.8057
_cell_angle_alpha 90.00
_cell_angle_beta 90.00
_cell_angle_gamma 120.00
_space_group_name_H-M_alt 'P -6 2 m'
_space_group_IT_number 189
_space_group_name_Hall 'P -6 -2'
loop_
_atom_site_label
_atom_site_type_symbol
_atom_site_fract_x
_atom_site_fract_y
_atom_site_fract_z
Sc1 Sc 0.0000 0.2330 0.0000
Sc2 Sc 0.0000 0.6168 0.5000
Fe1 Fe 0.0000 0.0000 0.5000
Te1 Te 0.3333 0.6667 0.0000
```

Main lines, in order of rising 2θ (10 to 90 degrees two-theta):
Position (°2θ), I_rel
23.04, 69.2
26.96, 23.8
33.05, 100.0
35.52, 36.5
35.75, 78.0
40.47, 61.9
42.96, 66.4
47.80, 23.1
63.79, 20.4
64.38, 29.5
65.62, 26.3
68.92, 24.4

(3)
The following is a theoretical PXRD pattern of ScTi2Fe6. It was derived from a structure optimized by DFT (GGA-PBE), using λ = 1.5418 Å (Cu Kα).
No peak broadening, texture or thermal motion is included.

Crystal structure
```
data_ScTi2Fe6
_cell_length_a 4.8356
_cell_length_b 4.8356
_cell_length_c 23.7583
_cell_angle_alpha 90.00
_cell_angle_beta 90.00
_cell_angle_gamma 120.00
_space_group_name_H-M_alt 'P 3 m 1'
_space_group_IT_number 156
loop_
_space_group_symop_operation_xyz
'x,y,z'
'-y,x-y,z'
'-x+y,-x,z'
'-y,-x,z'
'-x+y,y,z'
'x,x-y,z'
loop_
_atom_site_label
_atom_site_type_symbol
_atom_site_fract_x
_atom_site_fract_y
_atom_site_fract_z
Sc1 Sc 0.0000 0.0000 0.0000
Sc2 Sc 0.0000 0.0000 0.3324
Sc3 Sc 0.0000 0.0000 0.6645
Sc4 Sc 0.6667 0.3333 0.7088
Ti1 Ti 0.0000 0.0000 0.2063
Ti2 Ti 0.0000 0.0000 0.5393
Ti3 Ti 0.0000 0.0000 0.8744
Ti4 Ti 0.6667 0.3333 0.0438
Ti5 Ti 0.6667 0.3333 0.1670
Ti6 Ti 0.6667 0.3333 0.3769
Ti7 Ti 0.6667 0.3333 0.5000
Ti8 Ti 0.6667 0.3333 0.8346
Fe1 Fe 0.1640 0.3279 0.1054
Fe2 Fe 0.1638 0.3276 0.4384
Fe3 Fe 0.1642 0.3283 0.7733
Fe4 Fe 0.3333 0.6667 0.0208
Fe5 Fe 0.3333 0.6667 0.1872
Fe6 Fe 0.3333 0.6667 0.3539
Fe7 Fe 0.3333 0.6667 0.5198
Fe8 Fe 0.3333 0.6667 0.6873
Fe9 Fe 0.3333 0.6667 0.8545
Fe10 Fe 0.5028 0.0057 0.6007
Fe11 Fe 0.5031 0.0061 0.9362
Fe12 Fe 0.5039 0.0077 0.2688
```

Main lines, in order of rising 2θ (10 to 90 degrees two-theta):
Position (°2θ), I_rel
21.22, 15.4
37.19, 21.2
40.39, 62.1
43.87, 100.0
44.77, 95.1
45.83, 23.8
49.23, 27.8
51.02, 13.5
69.21, 19.4
71.69, 20.3
75.22, 26.2
79.24, 24.0